For HgC2Br3N, a PBE-relaxed structure gives the theoretical powder X-ray diffraction pattern in this record (CuKα).
No peak broadening, texture or thermal motion is included.

Structural model:
```
data_HgC2Br3N
_space_group_name_H-M_alt 'P 1 2/c 1'
_space_group_IT_number 13
_space_group_name_Hall '-P 2yc'
_cell_length_a 16.8271
_cell_length_b 8.7268
_cell_length_c 15.5231
_cell_angle_alpha 90.00
_cell_angle_beta 100.45
_cell_angle_gamma 90.00
loop_
_atom_site_label
_atom_site_type_symbol
_atom_site_fract_x
_atom_site_fract_y
_atom_site_fract_z
Hg1 Hg 0.0000 0.1165 0.2500
Hg2 Hg 0.2273 0.1973 0.6492
Hg3 Hg 0.5000 0.1894 0.7500
C1 C 0.0766 0.1457 0.9309
C2 C 0.1485 0.3889 0.9862
C3 C 0.3490 0.3990 0.4220
C4 C 0.4364 0.2016 0.3668
Br1 Br 0.1092 0.4243 0.4331
Br2 Br 0.1407 0.3796 0.7072
Br3 Br 0.1416 0.1331 0.2345
Br4 Br 0.3133 0.0294 0.5796
Br5 Br 0.3801 0.4697 0.5391
Br6 Br 0.4005 0.2075 0.8456
N1 N 0.1048 0.2706 0.9502
N2 N 0.3991 0.2912 0.4034
```

Largest 10 diffraction maxima, sorted by position, 10 to 80 degrees two-theta:
| 2θ (°) | d (Å) | Rel. int. | hkl |
| --- | --- | --- | --- |
| 11.65 | 7.595 | 82 | 0 1 1 |
| 12.40 | 7.136 | 100 | 1 1 -1 |
| 13.63 | 6.497 | 35 | 1 0 2 |
| 15.42 | 5.745 | 34 | 0 1 2 |
| 20.05 | 4.429 | 46 | 1 1 -3 |
| 20.75 | 4.280 | 30 | 3 1 1 |
| 21.52 | 4.129 | 41 | 3 0 2 |
| 23.81 | 3.738 | 27 | 4 1 0 |
| 26.80 | 3.327 | 30 | 1 2 -3 |
| 27.46 | 3.249 | 42 | 2 0 4 |

=====

For Be3As2H4O10, a PBE-relaxed structure gives the theoretical powder X-ray diffraction pattern in this record (CuKα).
No peak broadening, texture or thermal motion is included.

Structural model:
```
data_Be3As2H4O10
_space_group_name_H-M_alt 'C 1 2/c 1'
_space_group_IT_number 15
_space_group_name_Hall '-C 2yc'
_cell_length_a 16.6731
_cell_length_b 4.7528
_cell_length_c 10.0471
_cell_angle_alpha 90.00
_cell_angle_beta 94.53
_cell_angle_gamma 90.00
loop_
_atom_site_label
_atom_site_type_symbol
_atom_site_fract_x
_atom_site_fract_y
_atom_site_fract_z
Be1 Be 0.0000 0.1832 0.2500
Be2 Be 0.2471 0.0454 0.1611
As1 As 0.1555 0.0420 0.3988
H1 H 0.0513 0.4046 0.6624
H2 H 0.0924 0.3146 0.1037
O1 O 0.0450 0.3936 0.1464
O2 O 0.0610 0.0286 0.8315
O3 O 0.1657 0.0865 0.0583
O4 O 0.1789 0.3899 0.3984
O5 O 0.2228 0.1256 0.7976
```

Largest 10 diffraction maxima, sorted by position, 10 to 80 degrees two-theta:
| 2θ (°) | d (Å) | Rel. int. | hkl |
| --- | --- | --- | --- |
| 10.65 | 8.310 | 80 | 2 0 0 |
| 19.43 | 4.570 | 60 | 1 1 0 |
| 19.96 | 4.447 | 98 | 2 0 -2 |
| 21.42 | 4.149 | 48 | 2 0 2 |
| 24.68 | 3.607 | 100 | 3 1 0 |
| 26.70 | 3.339 | 44 | 1 1 2 |
| 28.99 | 3.080 | 59 | 4 0 2 |
| 29.77 | 3.001 | 41 | 3 1 -2 |
| 35.86 | 2.504 | 24 | 0 0 4 |
| 47.70 | 1.907 | 24 | 7 1 2 |

=====

Q: Which formula does entry 2 have?
A: Be3As2H4O10